Record 1
LaIn2GaNi2: calculated XRD peak list (Cu Kα), based on the PBE geometry in Alexandria.
Neutral-atom scattering factors, no anomalous dispersion.

The 10 most intense peaks (2θ = 10–80°), low angle first:
| index | 2θ (°) | intensity |
| --- | --- | --- |
| 1 1 0 | 27.9 | 47 |
| 1 1 1 | 31.6 | 28 |
| 1 0 2 | 35.6 | 100 |
| 2 0 0 | 39.8 | 61 |
| 2 1 2 | 54.5 | 57 |
| 2 2 0 | 57.6 | 20 |
| 0 0 4 | 61.1 | 8 |
| 3 1 0 | 65.1 | 10 |
| 3 0 2 | 69.6 | 14 |
| 2 0 4 | 75.4 | 18 |

Atomic structure:
```
LaIn2GaNi2
1.0
4.528 0.000 0.000
0.000 4.528 0.000
0.000 0.000 6.070
La In Ga Ni
1 2 1 2
direct
0.000 0.000 0.000
0.500 0.500 0.247
0.500 0.500 0.753
0.000 0.000 0.500
0.000 0.500 0.500
0.500 0.000 0.500
```

=====

Record 2
DyThNpO6: calculated XRD peak list (Cu Kα), based on the PBE geometry in Alexandria.
Neutral-atom scattering factors, no anomalous dispersion.

The 10 most intense peaks (2θ = 10–80°), low angle first:
| index | 2θ (°) | intensity |
| --- | --- | --- |
| 1 0 2 | 25.5 | 100 |
| 1 1 0 | 30.9 | 56 |
| 0 0 4 | 36.9 | 11 |
| 2 0 2 | 40.4 | 30 |
| 1 1 4 | 48.9 | 44 |
| 2 1 2 | 51.7 | 30 |
| 3 0 0 | 54.9 | 17 |
| 3 0 4 | 68.0 | 12 |
| 4 -1 2 | 70.4 | 12 |
| 4 -2 4 | 76.5 | 12 |

Atomic structure:
```
DyThNpO6
1.0
5.793 0.000 0.000
-2.897 5.017 0.000
0.000 0.000 9.739
Dy Th Np O
2 2 2 12
direct
0.333 0.667 0.250
0.667 0.333 0.750
0.000 0.000 0.000
0.000 0.000 0.500
0.333 0.667 0.750
0.667 0.333 0.250
0.017 0.349 0.634
0.017 0.668 0.866
0.332 0.349 0.866
0.332 0.983 0.634
0.349 0.017 0.134
0.349 0.332 0.366
0.651 0.668 0.634
0.651 0.983 0.866
0.668 0.017 0.366
0.668 0.651 0.134
0.983 0.332 0.134
0.983 0.651 0.366
```

=====

> Number 2 is which compound?

DyThNpO6